Entry 1:
ErZn3Au4: computed X-ray diffraction stick pattern (copper Kα), based on a GGA-PBE-relaxed structure.
Peak positions follow from Bragg's law for the DFT cell and can differ from measured ones.

Cell lengths 8.5845, 8.5845, 8.5845 Å; angles 30.59, 30.59, 30.59 degrees
Fractional coordinates of all 8 atoms:
Er1 0.0000 0.0000 0.0000
Zn1 0.2487 0.2487 0.2487
Zn2 0.5000 0.5000 0.5000
Zn3 0.7513 0.7513 0.7513
Au1 0.1296 0.1296 0.1296
Au2 0.3918 0.3918 0.3918
Au3 0.6082 0.6082 0.6082
Au4 0.8704 0.8704 0.8704

The 10 most intense peaks (5° ≤ 2θ ≤ 70°), in order of rising 2θ:
Position (°2θ)  I_rel
23.82  6
26.99  28
29.15  10
34.32  17
37.22  93
39.81  100
43.52  6
46.87  9
55.63  29
65.35  8



Entry 2:
ErZn4Au12: computed X-ray diffraction stick pattern (copper Kα), based on a GGA-PBE-relaxed structure.
Peak positions follow from Bragg's law for the DFT cell and can differ from measured ones.

Cell lengths 7.7115, 7.7115, 7.7115 Å; angles 109.47, 109.47, 109.47 degrees
Fractional coordinates of all 17 atoms:
Er1 0.0000 0.0000 0.0000
Zn1 0.0000 0.0000 0.5000
Zn2 0.0000 0.5000 0.0000
Zn3 0.5000 0.0000 0.0000
Zn4 0.5000 0.5000 0.5000
Au1 0.1536 0.3417 0.4953
Au2 0.1536 0.6583 0.8119
Au3 0.1881 0.8464 0.3417
Au4 0.3417 0.1881 0.8464
Au5 0.3417 0.4953 0.1536
Au6 0.4953 0.1536 0.3417
Au7 0.5047 0.8464 0.6583
Au8 0.6583 0.5047 0.8464
Au9 0.6583 0.8119 0.1536
Au10 0.8119 0.1536 0.6583
Au11 0.8464 0.3417 0.1881
Au12 0.8464 0.6583 0.5047

The 10 most intense peaks (5° ≤ 2θ ≤ 70°), in order of rising 2θ:
Position (°2θ)  I_rel
31.78  100
37.80  41
43.10  4
45.56  12
47.92  6
50.19  15
52.39  32
60.64  13
62.59  13
64.51  3



Entry 3:
Eu3Au: computed X-ray diffraction stick pattern (copper Kα), based on a GGA-PBE-relaxed structure.
Peak positions follow from Bragg's law for the DFT cell and can differ from measured ones.

Cell lengths 8.0202, 10.1987, 6.8244 Å; angles 90.00, 90.00, 90.00 degrees
Fractional coordinates of all 16 atoms:
Eu1 0.0328 0.2500 0.1367
Eu2 0.1777 0.0603 0.6572
Eu3 0.1777 0.4397 0.6572
Eu4 0.3223 0.5603 0.1572
Eu5 0.3223 0.9397 0.1572
Eu6 0.4672 0.7500 0.6367
Eu7 0.5328 0.2500 0.3633
Eu8 0.6777 0.0603 0.8428
Eu9 0.6777 0.4397 0.8428
Eu10 0.8223 0.5603 0.3428
Eu11 0.8223 0.9397 0.3428
Eu12 0.9672 0.7500 0.8633
Au1 0.1199 0.7500 0.4388
Au2 0.3801 0.2500 0.9388
Au3 0.6199 0.7500 0.0612
Au4 0.8801 0.2500 0.5612

The 10 most intense peaks (5° ≤ 2θ ≤ 70°), in order of rising 2θ:
Position (°2θ)  I_rel
27.24  37
28.31  55
29.35  45
29.77  100
31.26  73
31.44  81
33.52  52
34.59  51
36.08  46
45.10  40